[1]
Calculated XRD peak list
Compound: Th5C2N2
Radiation: Cu Ka
Structure: DFT lattice parameters and positions (GGA-PBE)
Peak positions follow from Bragg's law for the DFT cell and can differ from measured ones.

Main lines, in order of rising 2θ (10° ≤ 2θ ≤ 90°):
- d = 3.678 Å, I = 36
- d = 3.230 Å, I = 64
- d = 3.133 Å, I = 100
- d = 3.118 Å, I = 72
- d = 2.961 Å, I = 31
- d = 2.844 Å, I = 74
- d = 2.514 Å, I = 33
- d = 2.286 Å, I = 34
- d = 1.885 Å, I = 36
- d = 1.614 Å, I = 44

Atomic structure:
```
Th5C2N2
1.0
8.7250 -1.8841 0.0000
8.7250 1.8841 0.0000
-1.6046 0.0000 6.0990
Th C N
5 2 2
direct
0.0000 0.0000 0.0000
0.1008 0.1008 0.5645
0.3094 0.3094 0.8305
0.6906 0.6906 0.1695
0.8992 0.8992 0.4355
0.4321 0.4321 0.7152
0.5679 0.5679 0.2848
0.1434 0.1434 0.9509
0.8566 0.8566 0.0491
```

***

[2]
Calculated XRD peak list
Compound: PrDy5Ho4
Radiation: Cu Ka
Structure: DFT lattice parameters and positions (GGA-PBE)
Peak positions follow from Bragg's law for the DFT cell and can differ from measured ones.

Main lines, in order of rising 2θ (10° ≤ 2θ ≤ 90°):
- d = 3.062 Å, I = 58
- d = 2.905 Å, I = 23
- d = 2.870 Å, I = 100
- d = 2.783 Å, I = 82
- d = 2.754 Å, I = 77
- d = 2.735 Å, I = 71
- d = 2.723 Å, I = 77
- d = 2.696 Å, I = 25
- d = 2.578 Å, I = 23
- d = 1.821 Å, I = 27

Atomic structure:
```
PrDy5Ho4
1.0
3.5570 0.0000 0.0000
-1.5732 6.4717 0.0000
-0.8389 -2.4570 13.9126
Pr Dy Ho
1 5 4
direct
0.0000 0.0000 0.0000
0.2040 0.8812 0.5841
0.4936 0.4266 0.6142
0.5000 0.5000 0.0000
0.5064 0.5734 0.3858
0.7960 0.1188 0.4159
0.1130 0.8077 0.2167
0.2035 0.7298 0.8035
0.7965 0.2702 0.1965
0.8870 0.1923 0.7833
```

***

[3]
Calculated XRD peak list
Compound: Sm12Tm5Pu
Radiation: Cu Ka
Structure: DFT lattice parameters and positions (GGA-PBE)
Peak positions follow from Bragg's law for the DFT cell and can differ from measured ones.

Main lines, in order of rising 2θ (10° ≤ 2θ ≤ 90°):
- d = 2.885 Å, I = 50
- d = 2.863 Å, I = 100
- d = 2.826 Å, I = 83
- d = 2.803 Å, I = 16
- d = 2.791 Å, I = 14
- d = 2.761 Å, I = 36
- d = 1.995 Å, I = 22
- d = 1.669 Å, I = 13
- d = 1.647 Å, I = 16
- d = 1.481 Å, I = 16

Atomic structure:
```
Sm12Tm5Pu
1.0
6.0885 -8.2854 0.0000
6.0885 8.2854 0.0000
-0.1116 0.0000 5.7697
Sm Tm Pu
12 5 1
direct
0.0273 0.6768 0.9938
0.1715 0.5330 0.5000
0.2027 0.2027 0.4325
0.3033 0.3033 0.9384
0.3232 0.9727 0.0062
0.4670 0.8285 0.5000
0.5330 0.1715 0.5000
0.6768 0.0273 0.9938
0.6967 0.6967 0.0616
0.7973 0.7973 0.5675
0.8285 0.4670 0.5000
0.9727 0.3232 0.0062
0.1314 0.8686 0.5000
0.3620 0.6380 0.0000
0.5000 0.5000 0.5000
0.6380 0.3620 0.0000
0.8686 0.1314 0.5000
0.0000 0.0000 0.0000
```

***

[4]
Calculated XRD peak list
Compound: TbYFe
Radiation: Cu Ka
Structure: DFT lattice parameters and positions (GGA-PBE)
Peak positions follow from Bragg's law for the DFT cell and can differ from measured ones.

Main lines, in order of rising 2θ (10° ≤ 2θ ≤ 90°):
- d = 5.963 Å, I = 59
- d = 3.145 Å, I = 88
- d = 2.966 Å, I = 100
- d = 2.766 Å, I = 90
- d = 2.754 Å, I = 92
- d = 2.512 Å, I = 96
- d = 2.315 Å, I = 63
- d = 2.281 Å, I = 50
- d = 2.153 Å, I = 61
- d = 1.674 Å, I = 48

Atomic structure:
```
TbYFe
1.0
3.4193 -5.9633 0.0000
3.4193 5.9633 0.0000
0.0000 0.0000 7.4084
Tb Y Fe
4 4 4
direct
0.2050 0.2950 0.2500
0.2950 0.2050 0.7500
0.7050 0.7950 0.2500
0.7950 0.7050 0.7500
0.1974 0.8026 0.3875
0.3026 0.6974 0.8875
0.6974 0.3026 0.1125
0.8026 0.1974 0.6125
0.0912 0.9088 0.0441
0.4088 0.5912 0.5441
0.5912 0.4088 0.4559
0.9088 0.0912 0.9559
```

***

[5]
Calculated XRD peak list
Compound: PaMn4S8
Radiation: Cu Ka
Structure: DFT lattice parameters and positions (GGA-PBE)
Peak positions follow from Bragg's law for the DFT cell and can differ from measured ones.

Main lines, in order of rising 2θ (10° ≤ 2θ ≤ 90°):
- d = 5.705 Å, I = 79
- d = 5.006 Å, I = 58
- d = 3.613 Å, I = 26
- d = 3.471 Å, I = 24
- d = 3.099 Å, I = 19
- d = 3.009 Å, I = 38
- d = 2.503 Å, I = 100
- d = 2.276 Å, I = 16
- d = 1.807 Å, I = 32
- d = 1.736 Å, I = 40

Atomic structure:
```
PaMn4S8
1.0
3.4714 2.0042 6.0268
-3.4714 2.0042 6.0268
0.0000 -4.0084 6.0268
Pa Mn S
1 4 8
direct
0.0000 0.0000 0.0000
0.0000 0.0000 0.5000
0.0000 0.5000 0.0000
0.5000 0.0000 0.0000
0.5000 0.5000 0.5000
0.2356 0.2356 0.2356
0.2384 0.7390 0.7390
0.2610 0.2610 0.7616
0.2610 0.7616 0.2610
0.7390 0.2384 0.7390
0.7390 0.7390 0.2384
0.7616 0.2610 0.2610
0.7644 0.7644 0.7644
```

***

[6]
Calculated XRD peak list
Compound: AcZnFeH6
Radiation: Cu Ka
Structure: DFT lattice parameters and positions (GGA-PBE)
Peak positions follow from Bragg's law for the DFT cell and can differ from measured ones.

Main lines, in order of rising 2θ (10° ≤ 2θ ≤ 90°):
- d = 3.986 Å, I = 27
- d = 3.003 Å, I = 100
- d = 2.301 Å, I = 36
- d = 2.283 Å, I = 11
- d = 1.981 Å, I = 10
- d = 1.826 Å, I = 24
- d = 1.621 Å, I = 24
- d = 1.431 Å, I = 22
- d = 1.422 Å, I = 11
- d = 1.148 Å, I = 8

Atomic structure:
```
AcZnFeH6
1.0
4.6022 0.0000 0.0000
-2.3011 3.9856 0.0000
0.0000 0.0000 4.5664
Ac Zn Fe H
1 1 1 6
direct
0.0000 0.0000 0.0000
0.3333 0.6667 0.5000
0.6667 0.3333 0.5000
0.5189 0.0378 0.2580
0.5189 0.0378 0.7420
0.5189 0.4811 0.2580
0.5189 0.4811 0.7420
0.9622 0.4811 0.2580
0.9622 0.4811 0.7420
```

***

[7]
Calculated XRD peak list
Compound: La3Si2SbPd9
Radiation: Cu Ka
Structure: DFT lattice parameters and positions (GGA-PBE)
Peak positions follow from Bragg's law for the DFT cell and can differ from measured ones.

Main lines, in order of rising 2θ (10° ≤ 2θ ≤ 90°):
- d = 2.998 Å, I = 18
- d = 2.687 Å, I = 85
- d = 2.386 Å, I = 100
- d = 2.249 Å, I = 16
- d = 2.052 Å, I = 21
- d = 1.757 Å, I = 15
- d = 1.625 Å, I = 29
- d = 1.516 Å, I = 13
- d = 1.343 Å, I = 15
- d = 1.317 Å, I = 15

Atomic structure:
```
La3Si2SbPd9
1.0
6.5011 0.0000 0.0000
-3.2505 5.6301 0.0000
0.0000 0.0000 8.9944
La Si Sb Pd
3 2 1 9
direct
0.0000 0.0000 0.0000
0.3333 0.6667 0.6951
0.6667 0.3333 0.3049
0.3333 0.6667 0.1679
0.6667 0.3333 0.8321
0.0000 0.0000 0.5000
0.0000 0.5000 0.0000
0.1482 0.2964 0.2740
0.1482 0.8518 0.2740
0.2964 0.1482 0.7260
0.5000 0.0000 0.0000
0.5000 0.5000 0.0000
0.7036 0.8518 0.2740
0.8518 0.1482 0.7260
0.8518 0.7036 0.7260
```

***

[8]
Calculated XRD peak list
Compound: La9TbPr4
Radiation: Cu Ka
Structure: DFT lattice parameters and positions (GGA-PBE)
Peak positions follow from Bragg's law for the DFT cell and can differ from measured ones.

Main lines, in order of rising 2θ (10° ≤ 2θ ≤ 90°):
- d = 2.919 Å, I = 38
- d = 2.910 Å, I = 26
- d = 2.881 Å, I = 100
- d = 2.835 Å, I = 38
- d = 2.530 Å, I = 14
- d = 1.912 Å, I = 12
- d = 1.824 Å, I = 24
- d = 1.687 Å, I = 17
- d = 1.679 Å, I = 31
- d = 1.460 Å, I = 25

Atomic structure:
```
La9TbPr4
1.0
10.1221 0.0000 0.0000
-5.0610 8.7660 0.0000
0.0000 0.0000 11.6732
La Tb Pr
18 2 8
direct
0.0794 0.5397 0.2500
0.2072 0.4145 0.5312
0.2072 0.4145 0.9688
0.2072 0.7928 0.5312
0.2072 0.7928 0.9688
0.4145 0.2072 0.0312
0.4145 0.2072 0.4688
0.4603 0.5397 0.2500
0.4603 0.9206 0.2500
0.5397 0.0794 0.7500
0.5397 0.4603 0.7500
0.5855 0.7928 0.5312
0.5855 0.7928 0.9688
0.7928 0.2072 0.0312
0.7928 0.2072 0.4688
0.7928 0.5855 0.0312
0.7928 0.5855 0.4688
0.9206 0.4603 0.7500
0.3333 0.6667 0.7500
0.6667 0.3333 0.2500
0.0000 0.0000 0.0000
0.0000 0.0000 0.5000
0.1147 0.2295 0.2500
0.1147 0.8853 0.2500
0.2295 0.1147 0.7500
0.7705 0.8853 0.2500
0.8853 0.1147 0.7500
0.8853 0.7705 0.7500
```

***

[9]
Calculated XRD peak list
Compound: BeB3Rh
Radiation: Cu Ka
Structure: DFT lattice parameters and positions (GGA-PBE)
Peak positions follow from Bragg's law for the DFT cell and can differ from measured ones.

Main lines, in order of rising 2θ (10° ≤ 2θ ≤ 90°):
- d = 4.056 Å, I = 100
- d = 2.868 Å, I = 74
- d = 2.342 Å, I = 15
- d = 2.028 Å, I = 22
- d = 1.814 Å, I = 40
- d = 1.656 Å, I = 29
- d = 1.434 Å, I = 14
- d = 1.352 Å, I = 19
- d = 1.283 Å, I = 12
- d = 1.125 Å, I = 8

Atomic structure:
```
BeB3Rh
1.0
4.0562 0.0000 0.0000
0.0000 4.0562 0.0000
0.0000 0.0000 4.0562
Be B Rh
1 3 1
direct
0.0000 0.0000 0.0000
0.0000 0.5000 0.5000
0.5000 0.0000 0.5000
0.5000 0.5000 0.0000
0.5000 0.5000 0.5000
```

***

[10]
Calculated XRD peak list
Compound: Sr2ZrIr
Radiation: Cu Ka
Structure: DFT lattice parameters and positions (GGA-PBE)
Peak positions follow from Bragg's law for the DFT cell and can differ from measured ones.

Main lines, in order of rising 2θ (10° ≤ 2θ ≤ 90°):
- d = 8.643 Å, I = 100
- d = 3.294 Å, I = 56
- d = 3.106 Å, I = 9
- d = 3.065 Å, I = 18
- d = 2.881 Å, I = 14
- d = 2.664 Å, I = 23
- d = 2.655 Å, I = 11
- d = 2.215 Å, I = 25
- d = 2.195 Å, I = 12
- d = 1.747 Å, I = 13

Atomic structure:
```
Sr2ZrIr
1.0
3.8492 -2.1951 0.0000
3.8492 2.1951 0.0000
-2.4767 0.0000 8.6427
Sr Zr Ir
2 1 1
direct
0.0000 0.0000 0.0000
0.1834 0.1834 0.5577
0.7578 0.7578 0.2707
0.4427 0.4427 0.3230
```

***

[11]
Calculated XRD peak list
Compound: Cs6PtI3
Radiation: Cu Ka
Structure: DFT lattice parameters and positions (GGA-PBE)
Peak positions follow from Bragg's law for the DFT cell and can differ from measured ones.

Main lines, in order of rising 2θ (10° ≤ 2θ ≤ 90°):
- d = 7.507 Å, I = 66
- d = 3.582 Å, I = 57
- d = 3.392 Å, I = 40
- d = 3.366 Å, I = 46
- d = 3.225 Å, I = 100
- d = 2.520 Å, I = 21
- d = 2.377 Å, I = 20
- d = 2.195 Å, I = 18
- d = 2.124 Å, I = 17
- d = 1.740 Å, I = 19

Atomic structure:
```
Cs6PtI3
1.0
7.6048 4.3907 6.0908
-7.6048 4.3907 6.0908
0.0000 -8.7813 6.0908
Cs Pt I
12 2 6
direct
0.0551 0.9243 0.7044
0.0757 0.2956 0.9449
0.2044 0.4243 0.5551
0.2956 0.9449 0.0757
0.4243 0.5551 0.2044
0.4449 0.7956 0.5757
0.5551 0.2044 0.4243
0.5757 0.4449 0.7956
0.7044 0.0551 0.9243
0.7956 0.5757 0.4449
0.9243 0.7044 0.0551
0.9449 0.0757 0.2956
0.0000 0.0000 0.0000
0.5000 0.5000 0.5000
0.1287 0.7500 0.3713
0.2500 0.6287 0.8713
0.3713 0.1287 0.7500
0.6287 0.8713 0.2500
0.7500 0.3713 0.1287
0.8713 0.2500 0.6287
```